BaTl2Hg2: calculated powder X-ray diffraction pattern (Cu Kα (weighted mean of Kα1 and Kα2)), based on a DFT-relaxed cell (GGA-PBE, OQMD).
Neutral-atom scattering factors, no anomalous dispersion.

Main lines, by angle (2θ = 10–80°):
d (Å), 2θ/deg, intensity, hkl
3.070, 29.1, 31, 2 2 1
2.952, 30.3, 100, 3 0 1
2.602, 34.5, 46, 0 0 2
2.535, 35.4, 32, 3 3 0
2.332, 38.6, 29, 4 1 1
2.183, 41.4, 21, 4 2 1
1.815, 50.3, 24, 3 3 2
1.561, 59.2, 15, 3 0 3
1.532, 60.4, 17, 6 3 1
1.460, 63.8, 15, 5 5 1

Structure:
```
data_BaTl2Hg2
_symmetry_space_group_name_H-M 'P 42/m n m'
_symmetry_Int_Tables_number 136
_symmetry_space_group_name_Hall '-P 4n 2n'
_cell_length_a 10.7536
_cell_length_b 10.7536
_cell_length_c 5.2023
_cell_angle_alpha 90.00
_cell_angle_beta 90.00
_cell_angle_gamma 90.00
loop_
_atom_site_label
_atom_site_fract_x
_atom_site_fract_y
_atom_site_fract_z
Ba1 0.1494 0.1494 0.0000
Tl1 0.0290 0.3579 0.5000
Hg1 0.0953 0.9047 0.5000
Hg2 0.1853 0.8147 0.0000
```

---

BaTlHg: calculated powder X-ray diffraction pattern (Cu Kα (weighted mean of Kα1 and Kα2)), based on a DFT-relaxed cell (GGA-PBE, OQMD).
Neutral-atom scattering factors, no anomalous dispersion.

Main lines, by angle (2θ = 10–80°):
d (Å), 2θ/deg, intensity, hkl
4.195, 21.2, 24, 0 2 0
3.165, 28.2, 29, 1 1 2
3.083, 29.0, 100, 1 2 1
3.065, 29.1, 44, 0 2 2
2.670, 33.6, 32, 0 3 1
2.636, 34.0, 52, 2 0 0
2.603, 34.5, 90, 1 0 3
2.212, 40.8, 24, 1 2 3
1.999, 45.4, 26, 2 2 2
1.661, 55.3, 24, 1 3 4

Structure:
```
data_BaTlHg
_symmetry_space_group_name_H-M 'I m m 2'
_symmetry_Int_Tables_number 44
_symmetry_space_group_name_Hall 'I 2 -2'
_cell_length_a 5.2729
_cell_length_b 8.3906
_cell_length_c 8.9776
_cell_angle_alpha 90.00
_cell_angle_beta 90.00
_cell_angle_gamma 90.00
loop_
_atom_site_label
_atom_site_fract_x
_atom_site_fract_y
_atom_site_fract_z
Ba1 0.0000 0.0000 0.0000
Ba2 0.0000 0.5000 0.0712
Tl1 0.0000 0.3050 0.7039
Hg1 0.0000 0.2131 0.3734
```

---

BaYHg6: calculated powder X-ray diffraction pattern (Cu Kα (weighted mean of Kα1 and Kα2)), based on a DFT-relaxed cell (GGA-PBE, OQMD).
Neutral-atom scattering factors, no anomalous dispersion.

Main lines, by angle (2θ = 10–80°):
d (Å), 2θ/deg, intensity, hkl
5.924, 15.0, 4, 1 0 0
3.899, 22.8, 4, 1 0 1
2.962, 30.2, 24, 2 0 0
2.590, 34.6, 23, 0 0 2
2.571, 34.9, 100, 2 0 1
1.950, 46.6, 15, 2 0 2
1.710, 53.6, 19, 2 2 0
1.492, 62.2, 19, 2 0 3
1.427, 65.4, 21, 2 2 2
1.424, 65.6, 15, 4 0 1

Structure:
```
data_BaYHg6
_symmetry_space_group_name_H-M 'P -6 m 2'
_symmetry_Int_Tables_number 187
_symmetry_space_group_name_Hall 'P -6 2'
_cell_length_a 6.8409
_cell_length_b 6.8409
_cell_length_c 5.1798
_cell_angle_alpha 90.00
_cell_angle_beta 90.00
_cell_angle_gamma 120.00
loop_
_atom_site_label
_atom_site_fract_x
_atom_site_fract_y
_atom_site_fract_z
Ba1 0.0000 0.0000 0.0000
Y1 0.3333 0.6667 0.5000
Hg1 0.0042 0.5021 0.0000
Hg2 0.3577 0.1788 0.5000
```

---

BaHoIn4Pd2: calculated powder X-ray diffraction pattern (Cu Kα (weighted mean of Kα1 and Kα2)), based on a DFT-relaxed cell (GGA-PBE, OQMD).
Neutral-atom scattering factors, no anomalous dispersion.

Main lines, by angle (2θ = 10–80°):
d (Å), 2θ/deg, intensity, hkl
2.890, 30.9, 100, 2 1 1
2.799, 32.0, 23, 0 1 3
2.642, 33.9, 69, 1 1 3
2.526, 35.5, 32, 1 0 4
2.383, 37.7, 24, 3 0 2
2.293, 39.3, 26, 2 1 3
2.275, 39.6, 41, 0 2 0
2.248, 40.1, 25, 3 1 1
1.690, 54.3, 19, 1 2 4
1.443, 64.6, 19, 0 1 7

Structure:
```
data_BaHoIn4Pd2
_symmetry_space_group_name_H-M 'A m m 2'
_symmetry_Int_Tables_number 38
_symmetry_space_group_name_Hall 'A 2 -2'
_cell_length_a 7.9956
_cell_length_b 4.5499
_cell_length_c 10.6490
_cell_angle_alpha 90.00
_cell_angle_beta 90.00
_cell_angle_gamma 90.00
loop_
_atom_site_label
_atom_site_fract_x
_atom_site_fract_y
_atom_site_fract_z
Ba1 0.0000 0.0000 0.0000
Ho1 0.5000 0.0000 0.1350
In1 0.2102 0.0000 0.7099
In2 0.3118 0.0000 0.4210
Pd1 0.0000 0.0000 0.2829
Pd2 0.5000 0.0000 0.8519
```

---

Ba3HoN3: calculated powder X-ray diffraction pattern (Cu Kα (weighted mean of Kα1 and Kα2)), based on a DFT-relaxed cell (GGA-PBE, OQMD).
Neutral-atom scattering factors, no anomalous dispersion.

Main lines, by angle (2θ = 10–80°):
d (Å), 2θ/deg, intensity, hkl
3.662, 24.3, 30, 2 0 0
3.420, 26.1, 62, 1 1 1
3.099, 28.8, 100, 2 0 1
2.908, 30.8, 45, 0 0 2
2.768, 32.3, 25, 2 1 0
2.441, 36.8, 25, 3 0 0
2.031, 44.6, 20, 3 1 0
1.870, 48.7, 22, 3 0 2
1.665, 55.2, 21, 3 1 2
1.614, 57.1, 24, 2 3 1

Structure:
```
data_Ba3HoN3
_symmetry_space_group_name_H-M 'P 63/m'
_symmetry_Int_Tables_number 176
_symmetry_space_group_name_Hall '-P 6c'
_cell_length_a 8.4562
_cell_length_b 8.4562
_cell_length_c 5.8152
_cell_angle_alpha 90.00
_cell_angle_beta 90.00
_cell_angle_gamma 120.00
loop_
_atom_site_label
_atom_site_fract_x
_atom_site_fract_y
_atom_site_fract_z
Ba1 0.0825 0.3424 0.2500
Ho1 0.3333 0.6667 0.7500
N1 0.1079 0.3804 0.7500
```

---

BaNaHoTe3: calculated powder X-ray diffraction pattern (Cu Kα (weighted mean of Kα1 and Kα2)), based on a DFT-relaxed cell (GGA-PBE, OQMD).
Neutral-atom scattering factors, no anomalous dispersion.

Main lines, by angle (2θ = 10–80°):
d (Å), 2θ/deg, intensity, hkl
4.603, 19.3, 32, 2 0 2
3.434, 25.9, 100, 0 1 3
3.290, 27.1, 84, 1 1 3
2.951, 30.3, 93, 2 1 3
2.916, 30.7, 27, 3 1 1
2.892, 30.9, 50, 4 0 0
2.331, 38.6, 88, 0 2 0
2.321, 38.8, 44, 2 0 6
1.918, 47.4, 30, 5 1 3
1.645, 55.9, 30, 2 2 6

Structure:
```
data_BaNaHoTe3
_symmetry_space_group_name_H-M 'P n m a'
_symmetry_Int_Tables_number 62
_symmetry_space_group_name_Hall '-P 2ac 2n'
_cell_length_a 11.5677
_cell_length_b 4.6621
_cell_length_c 15.2054
_cell_angle_alpha 90.00
_cell_angle_beta 90.00
_cell_angle_gamma 90.00
loop_
_atom_site_label
_atom_site_fract_x
_atom_site_fract_y
_atom_site_fract_z
Ba1 0.2486 0.2500 0.0022
Na1 0.2474 0.7500 0.2220
Ho1 0.0030 0.7500 0.7498
Te1 0.0408 0.7500 0.1128
Te2 0.0457 0.2500 0.6124
Te3 0.2473 0.2500 0.3326
```

---

Please write out number 3 again, unchanged.
BaYHg6: calculated powder X-ray diffraction pattern (Cu Kα (weighted mean of Kα1 and Kα2)), based on a DFT-relaxed cell (GGA-PBE, OQMD).
Neutral-atom scattering factors, no anomalous dispersion.

Main lines, by angle (2θ = 10–80°):
d (Å), 2θ/deg, intensity, hkl
5.924, 15.0, 4, 1 0 0
3.899, 22.8, 4, 1 0 1
2.962, 30.2, 24, 2 0 0
2.590, 34.6, 23, 0 0 2
2.571, 34.9, 100, 2 0 1
1.950, 46.6, 15, 2 0 2
1.710, 53.6, 19, 2 2 0
1.492, 62.2, 19, 2 0 3
1.427, 65.4, 21, 2 2 2
1.424, 65.6, 15, 4 0 1

Structure:
```
data_BaYHg6
_symmetry_space_group_name_H-M 'P -6 m 2'
_symmetry_Int_Tables_number 187
_symmetry_space_group_name_Hall 'P -6 2'
_cell_length_a 6.8409
_cell_length_b 6.8409
_cell_length_c 5.1798
_cell_angle_alpha 90.00
_cell_angle_beta 90.00
_cell_angle_gamma 120.00
loop_
_atom_site_label
_atom_site_fract_x
_atom_site_fract_y
_atom_site_fract_z
Ba1 0.0000 0.0000 0.0000
Y1 0.3333 0.6667 0.5000
Hg1 0.0042 0.5021 0.0000
Hg2 0.3577 0.1788 0.5000
```